For SbH3CSCl6O, the GGA-PBE geometry in the Materials Project gives the calculated XRD peak list in this record (Cu Kα (λ = 1.5418 Å)).

Peak list (12 most intense, 15° ≤ 2θ ≤ 90°, low angle first)
2θ/deg	Rel. int.	hkl
15.05	51	1 0 0
15.91	100	1 2 -1
17.60	57	0 4 0
19.25	18	0 0 2
22.06	14	1 3 -2
23.24	58	1 4 0
25.59	22	1 1 -3
26.73	28	1 2 -3
34.42	33	1 6 1
35.29	27	2 4 0
38.12	17	2 6 -1
47.96	14	1 6 3

Atomic structure:
```
SbH3CSCl6O
1.0
6.774 0.000 0.000
0.000 20.166 0.000
-5.246 0.000 9.221
Sb H C S Cl O
4 12 4 4 24 4
Direct
0.050 0.125 0.215
0.050 0.375 0.715
0.950 0.625 0.285
0.950 0.875 0.785
0.039 0.557 0.869
0.039 0.637 0.793
0.039 0.863 0.293
0.039 0.943 0.369
0.255 0.618 0.976
0.255 0.882 0.476
0.745 0.118 0.524
0.745 0.382 0.024
0.961 0.057 0.631
0.961 0.137 0.707
0.961 0.363 0.207
0.961 0.443 0.131
0.078 0.610 0.892
0.078 0.890 0.392
0.922 0.110 0.608
0.922 0.390 0.108
0.090 0.144 0.538
0.090 0.356 0.038
0.910 0.644 0.962
0.910 0.856 0.462
0.046 0.156 0.998
0.046 0.344 0.498
0.226 0.541 0.391
0.226 0.959 0.891
0.237 0.703 0.317
0.237 0.797 0.817
0.332 0.207 0.360
0.332 0.293 0.860
0.344 0.045 0.286
0.344 0.455 0.786
0.406 0.124 0.709
0.406 0.376 0.209
0.594 0.624 0.791
0.594 0.876 0.291
0.656 0.545 0.214
0.656 0.955 0.714
0.668 0.707 0.140
0.668 0.793 0.640
0.763 0.203 0.183
0.763 0.297 0.683
0.774 0.041 0.109
0.774 0.459 0.609
0.954 0.656 0.502
0.954 0.844 0.002
0.048 0.095 0.417
0.048 0.405 0.917
0.952 0.595 0.083
0.952 0.905 0.583
```